# 1
Tb2S3: simulated PXRD pattern (Cu Ka), based on a PBE-relaxed structure.
Intensities are scaled so that the largest is 100.

Crystal structure
a b c (Å): 10.7046 3.8959 10.5065
angles (deg): 90.00 90.00 90.00
Sites, in units of the cell vectors:
Tb 0.0098 0.2500 0.1867
Tb 0.1921 0.2500 0.5038
Tb 0.3079 0.7500 0.0038
Tb 0.4902 0.7500 0.6867
Tb 0.5098 0.2500 0.3133
Tb 0.6921 0.2500 0.9962
Tb 0.8079 0.7500 0.4962
Tb 0.9902 0.7500 0.8133
S 0.0457 0.7500 0.3734
S 0.1197 0.2500 0.9445
S 0.2281 0.7500 0.6965
S 0.2719 0.2500 0.1965
S 0.3803 0.7500 0.4445
S 0.4543 0.2500 0.8734
S 0.5457 0.7500 0.1266
S 0.6197 0.2500 0.5555
S 0.7281 0.7500 0.8035
S 0.7719 0.2500 0.3035
S 0.8803 0.7500 0.0555
S 0.9543 0.2500 0.6266

Most intense lines, 5° ≤ 2θ ≤ 70°, by angle:
| Position (°2θ) | I/Imax | index |
| --- | --- | --- |
| 23.73 | 100 | 2 0 2 |
| 26.38 | 55 | 3 0 1 |
| 26.78 | 49 | 1 0 3 |
| 29.74 | 48 | 1 1 2 |
| 35.47 | 58 | 1 1 3 |
| 38.22 | 49 | 2 0 4 |



# 2
SrCl2: simulated PXRD pattern (Cu Ka), based on a PBE-relaxed structure.
Intensities are scaled so that the largest is 100.

Crystal structure
a b c (Å): 7.0472 7.0472 7.0472
angles (deg): 90.00 90.00 90.00
Sites, in units of the cell vectors:
Sr 0.0000 0.0000 0.0000
Sr 0.0000 0.5000 0.5000
Sr 0.5000 0.0000 0.5000
Sr 0.5000 0.5000 0.0000
Cl 0.2500 0.2500 0.2500
Cl 0.2500 0.2500 0.7500
Cl 0.2500 0.7500 0.2500
Cl 0.2500 0.7500 0.7500
Cl 0.7500 0.2500 0.2500
Cl 0.7500 0.2500 0.7500
Cl 0.7500 0.7500 0.2500
Cl 0.7500 0.7500 0.7500

Most intense lines, 5° ≤ 2θ ≤ 70°, by angle:
| Position (°2θ) | I/Imax | index |
| --- | --- | --- |
| 21.84 | 75 | 1 1 1 |
| 36.05 | 100 | 2 2 0 |
| 42.55 | 38 | 3 1 1 |
| 51.90 | 16 | 4 0 0 |
| 56.96 | 16 | 3 3 1 |
| 64.81 | 32 | 4 2 2 |



# 3
MgFeCuS2: simulated PXRD pattern (Cu Ka), based on a PBE-relaxed structure.
Intensities are scaled so that the largest is 100.

Crystal structure
a b c (Å): 6.5770 3.7983 6.2309
angles (deg): 90.00 90.09 90.00
Sites, in units of the cell vectors:
Mg 0.0000 0.0000 0.0000
Mg 0.5000 0.5000 0.0000
Fe 0.1664 0.5000 0.7746
Fe 0.6664 0.0000 0.7746
Cu 0.3342 0.0000 0.3605
Cu 0.8342 0.5000 0.3605
S 0.1668 0.5000 0.1917
S 0.3329 0.0000 0.7187
S 0.6668 0.0000 0.1917
S 0.8329 0.5000 0.7187

Most intense lines, 5° ≤ 2θ ≤ 70°, by angle:
| Position (°2θ) | I/Imax | index |
| --- | --- | --- |
| 27.11 | 51 | 1 1 0 |
| 28.65 | 35 | 0 0 2 |
| 30.74 | 100 | 2 0 1 |
| 39.86 | 80 | 1 1 2 |
| 47.91 | 90 | 3 1 0 |
| 52.08 | 47 | 2 0 3 |